Entry 1:
The following is a theoretical powder XRD pattern of Na5Mn2P2C2O14. It was derived from a cell relaxed with PBE+U, using Cu Kα (weighted mean of Kα1 and Kα2).
Neutral-atom scattering factors, no anomalous dispersion.

Structural model:
```
data_Na5Mn2P2C2O14
_cell_length_a 8.493
_cell_length_b 8.536
_cell_length_c 10.463
_cell_angle_alpha 108.31
_cell_angle_beta 107.86
_cell_angle_gamma 103.01
_symmetry_space_group_name_H-M 'P -1'
_symmetry_Int_Tables_number 2
_symmetry_space_group_name_Hall '-P 1'
loop_
_atom_site_label
_atom_site_type_symbol
_atom_site_fract_x
_atom_site_fract_y
_atom_site_fract_z
Na1 Na 0.005 0.010 0.238
Na2 Na 0.198 0.450 0.920
Na3 Na 0.252 0.761 0.255
Na4 Na 0.266 0.768 0.764
Na5 Na 0.491 0.479 0.253
Mn1 Mn 0.192 0.447 0.359
Mn2 Mn 0.307 0.059 0.641
P1 P 0.066 0.311 0.580
P2 P 0.439 0.185 0.424
C1 C 0.029 0.282 0.066
C2 C 0.480 0.233 0.926
O1 O 0.020 0.597 0.322
O2 O 0.036 0.777 0.852
O3 O 0.043 0.788 0.075
O4 O 0.074 0.829 0.573
O5 O 0.170 0.223 0.671
O6 O 0.174 0.423 0.136
O7 O 0.201 0.452 0.564
O8 O 0.300 0.051 0.448
O9 O 0.337 0.088 0.850
O10 O 0.339 0.268 0.331
O11 O 0.421 0.676 0.424
O12 O 0.450 0.695 0.933
O13 O 0.457 0.702 0.152
O14 O 0.474 0.923 0.664
```

Top 8 peaks for 2θ = 10–90°, in order of falling intensity:
- 26.76°, I 100, (2 -2 0)
- 33.83°, I 94, (2 2 -2)
- 33.29°, I 67, (2 -2 2)
- 25.74°, I 64, (1 1 1)
- 33.43°, I 57, (-2 2 2)
- 16.51°, I 56, (-1 1 1)
- 33.19°, I 50, (1 -3 0)
- 55.13°, I 41, (4 -4 0)

---

Entry 2:
The following is a theoretical powder XRD pattern of Na2MnCSO7. It was derived from a cell relaxed with PBE+U, using Cu Kα (weighted mean of Kα1 and Kα2).
Neutral-atom scattering factors, no anomalous dispersion.

Structural model:
```
data_Na2MnCSO7
_cell_length_a 5.346
_cell_length_b 6.869
_cell_length_c 9.189
_cell_angle_alpha 90.00
_cell_angle_beta 91.17
_cell_angle_gamma 90.00
_symmetry_space_group_name_H-M 'P 1 21/m 1'
_symmetry_Int_Tables_number 11
_symmetry_space_group_name_Hall '-P 2yb'
loop_
_atom_site_label
_atom_site_type_symbol
_atom_site_fract_x
_atom_site_fract_y
_atom_site_fract_z
Na1 Na 0.232 0.008 0.297
Mn1 Mn 0.227 0.750 0.863
C1 C 0.273 0.750 0.581
S1 S 0.275 0.250 0.923
O1 O 0.052 0.750 0.641
O2 O 0.176 0.250 0.075
O3 O 0.187 0.074 0.844
O4 O 0.303 0.750 0.444
O5 O 0.443 0.750 0.067
O6 O 0.465 0.750 0.674
```

Top 8 peaks for 2θ = 10–90°, in order of falling intensity:
- 25.31°, I 100, (1 0 -2)
- 32.57°, I 79, (0 2 2)
- 25.94°, I 76, (0 2 0)
- 16.11°, I 72, (0 1 1)
- 33.54°, I 58, (2 0 0)
- 32.38°, I 50, (1 2 -1)
- 25.83°, I 48, (1 0 2)
- 23.34°, I 46, (1 1 1)

---

Entry 3:
The following is a theoretical powder XRD pattern of Na6Mn2C4SO16. It was derived from a cell relaxed with PBE+U, using Cu Kα (weighted mean of Kα1 and Kα2).
Neutral-atom scattering factors, no anomalous dispersion.

Structural model:
a b c (Å): 14.185 14.185 14.185
angles (deg): 90.00 90.00 90.00
Space group Fd-3 (No. 203, origin choice 2)
Inequivalent atoms, fractional coordinates:
Na: 0.089 0.375 0.375 x48
Mn: 0.000 0.000 0.500 x16
C: 0.029 0.029 0.721 x32
S: 0.125 0.125 0.125 x8
O: 0.019 0.098 0.781 x96
O: 0.064 0.064 0.064 x32

Top 8 peaks for 2θ = 10–90°, in order of falling intensity:
- 32.81°, I 100, (5 1 1)
- 20.77°, I 94, (3 1 1)
- 35.81°, I 76, (4 4 0)
- 56.15°, I 34, (5 5 5)
- 37.51°, I 23, (5 1 3)
- 45.67°, I 21, (7 1 1)
- 56.56°, I 20, (6 6 2)
- 10.80°, I 17, (1 1 1)

---

Entry 4:
The following is a theoretical powder XRD pattern of MnC2O6. It was derived from a cell relaxed with PBE+U, using Cu Kα (weighted mean of Kα1 and Kα2).
Neutral-atom scattering factors, no anomalous dispersion.

Structural model:
```
data_MnC2O6
_cell_length_a 11.380
_cell_length_b 5.421
_cell_length_c 9.995
_cell_angle_alpha 90.00
_cell_angle_beta 124.26
_cell_angle_gamma 90.00
_symmetry_space_group_name_H-M 'C 1 2/c 1'
_symmetry_Int_Tables_number 15
_symmetry_space_group_name_Hall '-C 2yc'
loop_
_atom_site_label
_atom_site_type_symbol
_atom_site_fract_x
_atom_site_fract_y
_atom_site_fract_z
Mn1 Mn 0.000 0.173 0.250
C1 C 0.046 0.327 0.843
O1 O 0.082 0.120 0.914
O2 O 0.082 0.466 0.414
O3 O 0.151 0.175 0.249
```

Top 8 peaks for 2θ = 10–90°, in order of falling intensity:
- 18.88°, I 100, (2 0 0)
- 19.01°, I 78, (2 0 -2)
- 24.31°, I 30, (1 1 1)
- 31.45°, I 29, (4 0 -2)
- 21.52°, I 25, (0 0 2)
- 32.75°, I 22, (1 1 -3)
- 47.04°, I 15, (0 2 3)
- 42.47°, I 13, (1 1 3)